Computed X-ray diffraction stick pattern
Compound: Dy2Ho3Tm8
Radiation: Cu Kα
Structure: DFT lattice parameters and positions (PBE)
No peak broadening, texture or thermal motion is included.

Structure:
Cell: 5.514 6.729 21.901 Å, 90.00 90.00 90.00°
Space group Immm (No. 71)
Unique sites:
Dy: 0.000 0.000 0.223 x4
Ho: 0.000 0.265 0.500 x4
Ho: 0.000 0.500 0.000 x2
Tm: 0.000 0.000 0.075 x4
Tm: 0.000 0.261 0.348 x8
Tm: 0.000 0.500 0.185 x4

Largest 10 diffraction maxima, low angle first, 2θ from 5° to 70°:
d [Å], I (rel.), index
3.650, 18.5, 0 0 6
2.848, 100.0, 1 2 1
2.773, 48.6, 1 1 6
2.757, 58.0, 2 0 0
2.721, 54.3, 1 0 7
2.673, 15.6, 1 2 3
2.474, 16.8, 0 2 6
2.402, 24.1, 1 2 5
1.682, 20.8, 0 4 0
1.609, 19.8, 3 2 1


Computed X-ray diffraction stick pattern
Compound: Dy2Ho5Tm4
Radiation: Cu Kα
Structure: DFT lattice parameters and positions (PBE)
No peak broadening, texture or thermal motion is included.

Structure:
Cell: 3.455 8.880 22.951 Å, 90.00 90.00 90.00°
Space group Immm (No. 71)
Unique sites:
Dy: 0.000 0.000 0.232 x4
Ho: 0.000 0.197 0.357 x8
Ho: 0.000 0.500 0.000 x2
Tm: 0.000 0.000 0.097 x4
Tm: 0.000 0.312 0.500 x4

Largest 10 diffraction maxima, low angle first, 2θ from 5° to 70°:
d [Å], I (rel.), index
3.100, 38.3, 1 1 2
3.076, 25.6, 0 1 7
2.898, 50.0, 0 2 6
2.869, 35.4, 0 0 8
2.761, 68.0, 0 3 3
2.708, 100.0, 1 2 1
2.463, 34.7, 1 1 6
2.378, 47.1, 1 0 7
2.094, 32.9, 1 3 4
1.483, 29.5, 1 2 13


Computed X-ray diffraction stick pattern
Compound: Dy3Ho2Tm8
Radiation: Cu Kα
Structure: DFT lattice parameters and positions (PBE)
No peak broadening, texture or thermal motion is included.

Structure:
Cell: 5.510 6.743 21.896 Å, 90.00 90.00 90.00°
Space group Immm (No. 71)
Unique sites:
Dy: 0.000 0.000 0.000 x2
Dy: 0.000 0.234 0.500 x4
Ho: 0.000 0.500 0.222 x4
Tm: 0.000 0.000 0.186 x4
Tm: 0.000 0.238 0.347 x8
Tm: 0.000 0.500 0.075 x4

Largest 10 diffraction maxima, low angle first, 2θ from 5° to 70°:
d [Å], I (rel.), index
3.649, 18.1, 0 0 6
2.851, 100.0, 1 2 1
2.773, 48.2, 1 1 6
2.755, 58.6, 2 0 0
2.720, 56.3, 1 0 7
2.676, 16.5, 1 2 3
2.476, 17.7, 0 2 6
2.404, 25.4, 1 2 5
1.609, 19.9, 3 2 1
1.433, 15.6, 1 4 7


Computed X-ray diffraction stick pattern
Compound: DyHo7Tm4
Radiation: Cu Kα
Structure: DFT lattice parameters and positions (PBE)
No peak broadening, texture or thermal motion is included.

Structure:
Cell: 6.413 6.722 8.924 Å, 86.06 76.56 81.91°
Space group P-1 (No. 2)
Unique sites:
Dy: 0.000 0.000 0.000 x1
Ho: 0.000 0.500 0.000 x1
Ho: 0.192 0.104 0.387 x2
Ho: 0.315 0.703 0.642 x2
Ho: 0.485 0.250 0.050 x2
Tm: 0.161 0.613 0.314 x2
Tm: 0.358 0.196 0.714 x2

Largest 10 diffraction maxima, low angle first, 2θ from 5° to 70°:
d [Å], I (rel.), index
2.891, 35.6, 0 0 3
2.839, 38.5, 2 0 2
2.787, 100.0, 1 -2 0
2.756, 11.2, 2 1 2
2.723, 82.5, 2 0 -1
2.688, 18.1, 0 1 3
2.554, 11.4, 1 -1 3
2.079, 12.3, 1 -2 3
1.912, 12.6, 3 2 1
1.586, 15.3, 3 2 -2